The following is a calculated powder diffraction line list of Li10Mn3Cr3Ni2O16. It was derived from a DFT-relaxed cell (PBE+U, Alexandria), using copper Kα.
Intensities are scaled so that the largest is 1000.

Structural model:
Cell: 5.956 5.966 9.808 Å, 90.37 90.60 119.58°
Space group P1 (No. 1)
One atom of each set of equivalent atoms:
Li 0.000 0.000 0.000 (multiplicity 1)
Li 0.001 0.411 0.999 (multiplicity 1)
Li 0.203 0.814 0.426 (multiplicity 1)
Li 0.204 0.812 0.925 (multiplicity 1)
Li 0.389 0.196 0.508 (multiplicity 1)
Li 0.391 0.609 0.503 (multiplicity 1)
Li 0.536 0.480 0.724 (multiplicity 1)
Li 0.589 0.998 0.007 (multiplicity 1)
Li 0.805 0.610 0.500 (multiplicity 1)
Li 0.872 0.145 0.224 (multiplicity 1)
Mn 0.031 0.473 0.728 (multiplicity 1)
Mn 0.031 0.978 0.730 (multiplicity 1)
Mn 0.865 0.640 0.227 (multiplicity 1)
Cr 0.370 0.640 0.230 (multiplicity 1)
Cr 0.371 0.146 0.229 (multiplicity 1)
Cr 0.537 0.979 0.729 (multiplicity 1)
Ni 0.527 0.470 0.971 (multiplicity 1)
Ni 0.861 0.136 0.472 (multiplicity 1)
O 0.035 0.967 0.341 (multiplicity 1)
O 0.037 0.490 0.344 (multiplicity 1)
O 0.175 0.299 0.614 (multiplicity 1)
O 0.211 0.836 0.612 (multiplicity 1)
O 0.217 0.316 0.110 (multiplicity 1)
O 0.228 0.821 0.112 (multiplicity 1)
O 0.357 0.644 0.841 (multiplicity 1)
O 0.358 0.134 0.844 (multiplicity 1)
O 0.512 0.464 0.353 (multiplicity 1)
O 0.527 0.971 0.346 (multiplicity 1)
O 0.693 0.783 0.113 (multiplicity 1)
O 0.694 0.321 0.112 (multiplicity 1)
O 0.711 0.827 0.612 (multiplicity 1)
O 0.712 0.303 0.613 (multiplicity 1)
O 0.854 0.121 0.853 (multiplicity 1)
O 0.880 0.648 0.842 (multiplicity 1)

Main lines, by intensity (2θ = 10–90°):
2θ/deg	I/Imax	(hkl)
19.5	1000	-1 1 1
18.1	708	0 0 2
19.2	557	1 0 -1
44.3	545	0 2 -3
44.9	487	2 -2 3
35.1	374	1 -2 2